Record 1
The following is a simulated powder X-ray diffraction pattern of Ca2Dy3Sb3O14. It was derived from a structure optimized by DFT (GGA-PBE), using λ = 1.5418 Å (Cu Kα).

Peak list (10 most intense, 2θ from 10° to 80°, in order of rising 2θ)
2θ 14.39, I 299
2θ 29.01, I 1000
2θ 29.63, I 848
2θ 33.76, I 250
2θ 33.99, I 244
2θ 34.19, I 274
2θ 48.66, I 248
2θ 48.81, I 257
2θ 57.48, I 262
2θ 57.72, I 162

Atomic structure:
```
Ca2Dy3Sb3O14
1.0
5.2768 -5.3102 0.0000
5.2768 5.3102 0.0000
-0.3212 0.0000 10.4892
Ca Dy Sb O
4 6 6 28
Direct
0.0000 0.5000 0.5000
0.2387 0.7613 0.7500
0.5000 0.0000 0.0000
0.7613 0.2387 0.2500
0.2241 0.7759 0.2500
0.2612 0.2840 0.2587
0.2840 0.2612 0.7587
0.7160 0.7388 0.2413
0.7388 0.7160 0.7413
0.7759 0.2241 0.7500
0.0000 0.0000 0.0000
0.0000 0.0000 0.5000
0.0000 0.5000 0.0000
0.5000 0.0000 0.5000
0.5000 0.5000 0.0000
0.5000 0.5000 0.5000
0.0256 0.2039 0.3790
0.0410 0.1853 0.6406
0.0673 0.4883 0.1849
0.0861 0.7497 0.0159
0.1853 0.0410 0.1406
0.2039 0.0256 0.8790
0.2450 0.4333 0.9420
0.2503 0.9139 0.4841
0.3037 0.4993 0.6295
0.3063 0.5513 0.3745
0.4333 0.2450 0.4420
0.4487 0.6937 0.1255
0.4883 0.0673 0.6849
0.4993 0.3037 0.1295
0.5007 0.6963 0.8705
0.5117 0.9327 0.3151
0.5513 0.3063 0.8745
0.5667 0.7550 0.5580
0.6937 0.4487 0.6255
0.6963 0.5007 0.3705
0.7497 0.0861 0.5159
0.7550 0.5667 0.0580
0.7961 0.9744 0.1210
0.8147 0.9590 0.8594
0.9139 0.2503 0.9841
0.9327 0.5117 0.8151
0.9590 0.8147 0.3594
0.9744 0.7961 0.6210
```



Record 2
The following is a simulated powder X-ray diffraction pattern of SrCaDySbO6. It was derived from a structure optimized by DFT (GGA-PBE), using λ = 1.5418 Å (Cu Kα).

Peak list (10 most intense, 2θ from 10° to 80°, in order of rising 2θ)
2θ 18.39, I 44
2θ 21.27, I 289
2θ 30.26, I 1000
2θ 43.32, I 329
2θ 48.74, I 122
2θ 53.75, I 399
2θ 62.92, I 200
2θ 67.23, I 56
2θ 71.40, I 175
2θ 79.47, I 65

Atomic structure:
```
SrCaDySbO6
1.0
0.0000 4.1777 4.1777
4.1777 0.0000 4.1777
4.1777 4.1777 0.0000
Sr Ca Dy Sb O
1 1 1 1 6
Direct
0.0000 0.0000 0.0000
0.5000 0.5000 0.5000
0.7500 0.7500 0.7500
0.2500 0.2500 0.2500
0.0124 0.0124 0.4876
0.0124 0.4876 0.0124
0.0124 0.4876 0.4876
0.4876 0.0124 0.0124
0.4876 0.0124 0.4876
0.4876 0.4876 0.0124
```



Record 3
The following is a simulated powder X-ray diffraction pattern of CaDyRh2. It was derived from a structure optimized by DFT (GGA-PBE), using λ = 1.5418 Å (Cu Kα).

Peak list (8 most intense, 2θ from 10° to 80°, in order of rising 2θ)
2θ 22.51, I 190
2θ 37.16, I 1000
2θ 43.88, I 104
2θ 53.57, I 171
2θ 58.83, I 45
2θ 67.00, I 344
2θ 71.67, I 34
2θ 79.19, I 107

Atomic structure:
```
CaDyRh2
1.0
0.0000 3.4213 3.4213
3.4213 0.0000 3.4213
3.4213 3.4213 0.0000
Ca Dy Rh
1 1 2
Direct
0.0000 0.0000 0.0000
0.5000 0.5000 0.5000
0.2500 0.2500 0.2500
0.7500 0.7500 0.7500
```



Record 4
The following is a simulated powder X-ray diffraction pattern of CaDy2S4. It was derived from a structure optimized by DFT (GGA-PBE), using λ = 1.5418 Å (Cu Kα).

Peak list (10 most intense, 2θ from 10° to 80°, in order of rising 2θ)
2θ 14.96, I 281
2θ 21.23, I 135
2θ 26.06, I 1000
2θ 33.85, I 981
2θ 40.29, I 727
2θ 48.62, I 380
2θ 51.15, I 258
2θ 55.98, I 308
2θ 69.14, I 373
2θ 73.24, I 139

Atomic structure:
```
CaDy2S4
1.0
-4.1859 4.1859 4.1914
4.1859 -4.1859 4.1914
4.1859 4.1859 -4.1914
Ca Dy S
2 4 8
Direct
0.0000 0.0000 0.0000
0.7500 0.2500 0.5000
0.2478 0.1250 0.6228
0.3750 0.7522 0.8772
0.5022 0.6250 0.3772
0.8750 0.4978 0.1228
0.1314 0.3818 0.8947
0.1318 0.3814 0.3947
0.2629 0.8682 0.2497
0.4871 0.2367 0.1053
0.6182 0.5129 0.7497
0.6186 0.0133 0.7503
0.7633 0.8686 0.2503
0.9867 0.7371 0.6053
```



Record 5
The following is a simulated powder X-ray diffraction pattern of CaDyZn2. It was derived from a structure optimized by DFT (GGA-PBE), using λ = 1.5418 Å (Cu Kα).

Peak list (10 most intense, 2θ from 10° to 80°, in order of rising 2θ)
2θ 21.33, I 265
2θ 24.68, I 37
2θ 35.18, I 1000
2θ 41.51, I 150
2θ 50.60, I 174
2θ 55.51, I 66
2θ 63.12, I 348
2θ 67.45, I 50
2θ 74.37, I 106
2θ 78.41, I 50

Atomic structure:
```
CaDyZn2
1.0
0.0000 3.6077 3.6077
3.6077 0.0000 3.6077
3.6077 3.6077 0.0000
Ca Dy Zn
1 1 2
Direct
0.0000 0.0000 0.0000
0.5000 0.5000 0.5000
0.2500 0.2500 0.2500
0.7500 0.7500 0.7500
```



Record 6
The following is a simulated powder X-ray diffraction pattern of CaEr2Ge4O12. It was derived from a structure optimized by DFT (GGA-PBE), using λ = 1.5418 Å (Cu Kα).

Peak list (10 most intense, 2θ from 10° to 80°, in order of rising 2θ)
2θ 12.42, I 327
2θ 21.48, I 364
2θ 28.01, I 140
2θ 30.66, I 1000
2θ 35.65, I 243
2θ 45.69, I 108
2θ 51.07, I 266
2θ 51.30, I 129
2θ 60.55, I 145
2θ 60.96, I 251

Atomic structure:
```
CaEr2Ge4O12
1.0
7.1226 -7.1242 0.0000
7.1226 7.1242 0.0000
0.0000 0.0000 5.0797
Ca Er Ge O
2 4 8 24
Direct
0.0000 0.5000 0.0000
0.5000 0.0000 0.0000
0.0000 0.0000 0.0000
0.2500 0.2500 0.0000
0.5000 0.5000 0.0000
0.7500 0.7500 0.0000
0.0202 0.7495 0.5015
0.2495 0.5202 0.5015
0.2505 0.9798 0.5015
0.4798 0.7505 0.5015
0.5202 0.2495 0.4985
0.7495 0.0202 0.4985
0.7505 0.4798 0.4985
0.9798 0.2505 0.4985
0.0593 0.1716 0.7602
0.0687 0.3227 0.2460
0.1242 0.8758 0.6653
0.1296 0.6296 0.3441
0.1716 0.0593 0.2398
0.1773 0.4313 0.7540
0.3227 0.0687 0.7540
0.3284 0.4407 0.2398
0.3704 0.8704 0.3441
0.3758 0.6242 0.6653
0.4313 0.1773 0.2460
0.4407 0.3284 0.7602
0.5593 0.6716 0.2398
0.5687 0.8227 0.7540
0.6242 0.3758 0.3347
0.6296 0.1296 0.6559
0.6716 0.5593 0.7602
0.6773 0.9313 0.2460
0.8227 0.5687 0.2460
0.8284 0.9407 0.7602
0.8704 0.3704 0.6559
0.8758 0.1242 0.3347
0.9313 0.6773 0.7540
0.9407 0.8284 0.2398
```